This entry pairs a crystal structure of Cu2HgGeTe2Se2 with its theoretical X-ray diffraction stick pattern. Radiation: Cu Kα (weighted mean of Kα1 and Kα2). Structure: the GGA-PBE geometry in OQMD.

Principal peaks in the range 2θ from 15° to 90°, by angle:
two_theta  Rel. int.
16.4  161
25.7  934
25.9  1000
42.2  498
42.8  241
43.1  458
43.4  216
49.9  159
50.0  174
51.5  154

Structural model:
```
data_Cu2HgGeTe2Se2
_space_group_name_H-M_alt 'C 1 2 1'
_space_group_IT_number 5
_cell_length_a 13.048
_cell_length_b 6.063
_cell_length_c 6.058
_cell_angle_alpha 90.00
_cell_angle_beta 116.81
_cell_angle_gamma 90.00
loop_
_space_group_symop_operation_xyz
'x,y,z'
'-x,y,-z'
'x+1/2,y+1/2,z'
'-x+1/2,y+1/2,-z'
loop_
_atom_site_label
_atom_site_fract_x
_atom_site_fract_y
_atom_site_fract_z
Cu1 0.250 0.000 0.227
Hg1 0.000 0.990 0.500
Ge1 0.000 0.525 0.000
Te1 0.141 0.272 0.372
Se1 0.136 0.738 0.903
```


This entry pairs a crystal structure of HoLu2Cu4Ge4 with its theoretical X-ray diffraction stick pattern. Radiation: Cu Kα (weighted mean of Kα1 and Kα2). Structure: the GGA-PBE geometry in OQMD.

Principal peaks in the range 2θ from 15° to 90°, by angle:
two_theta  Rel. int.
26.8  110
35.2  1000
36.5  846
39.2  158
43.8  299
45.4  237
48.2  113
57.4  114
64.9  214
80.8  126

Structural model:
```
data_HoLu2Cu4Ge4
_space_group_name_H-M_alt 'I m m m'
_space_group_IT_number 71
_space_group_name_Hall '-I 2 2'
_cell_length_a 4.138
_cell_length_b 6.655
_cell_length_c 13.786
_cell_angle_alpha 90.00
_cell_angle_beta 90.00
_cell_angle_gamma 90.00
loop_
_atom_site_label
_atom_site_fract_x
_atom_site_fract_y
_atom_site_fract_z
Ho1 0.000 0.000 0.000
Lu1 0.000 0.500 0.129
Cu1 0.000 0.308 0.331
Ge1 0.000 0.000 0.218
Ge2 0.000 0.191 0.500
```


This entry pairs a crystal structure of HoLu2Cu4Si2Ge2 with its theoretical X-ray diffraction stick pattern. Radiation: Cu Kα (weighted mean of Kα1 and Kα2). Structure: the GGA-PBE geometry in OQMD.

Principal peaks in the range 2θ from 15° to 90°, by angle:
two_theta  Rel. int.
23.8  164
28.9  205
35.6  1000
37.0  749
39.7  237
44.4  276
45.9  301
59.6  135
61.0  142
65.7  242

Structural model:
```
data_HoLu2Cu4Si2Ge2
_space_group_name_H-M_alt 'I m m m'
_space_group_IT_number 71
_space_group_name_Hall '-I 2 2'
_cell_length_a 4.081
_cell_length_b 6.589
_cell_length_c 13.638
_cell_angle_alpha 90.00
_cell_angle_beta 90.00
_cell_angle_gamma 90.00
loop_
_atom_site_label
_atom_site_fract_x
_atom_site_fract_y
_atom_site_fract_z
Ho1 0.000 0.000 0.000
Lu1 0.000 0.500 0.129
Cu1 0.000 0.308 0.325
Si1 0.000 0.000 0.218
Ge1 0.000 0.192 0.500
```


This entry pairs a crystal structure of Nd2HoCu4Sn2Ge2 with its theoretical X-ray diffraction stick pattern. Radiation: Cu Kα (weighted mean of Kα1 and Kα2). Structure: the GGA-PBE geometry in OQMD.

Principal peaks in the range 2θ from 15° to 90°, by angle:
two_theta  Rel. int.
26.5  134
33.3  296
34.0  776
34.3  1000
40.4  375
44.5  170
53.3  158
61.7  123
69.6  153
78.9  145

Structural model:
```
data_Nd2HoCu4Sn2Ge2
_space_group_name_H-M_alt 'I m m m'
_space_group_IT_number 71
_space_group_name_Hall '-I 2 2'
_cell_length_a 4.463
_cell_length_b 6.716
_cell_length_c 14.675
_cell_angle_alpha 90.00
_cell_angle_beta 90.00
_cell_angle_gamma 90.00
loop_
_atom_site_label
_atom_site_fract_x
_atom_site_fract_y
_atom_site_fract_z
Nd1 0.000 0.000 0.128
Ho1 0.000 0.500 0.000
Cu1 0.000 0.186 0.341
Sn1 0.000 0.500 0.215
Ge1 0.000 0.307 0.500
```


This entry pairs a crystal structure of NdHo2Cu4Sn2Ge2 with its theoretical X-ray diffraction stick pattern. Radiation: Cu Kα (weighted mean of Kα1 and Kα2). Structure: the GGA-PBE geometry in OQMD.

Principal peaks in the range 2θ from 15° to 90°, by angle:
two_theta  Rel. int.
26.3  141
33.5  271
34.1  706
34.7  1000
38.4  121
41.5  333
44.2  171
54.3  139
71.4  124
78.4  145

Structural model:
```
data_NdHo2Cu4Sn2Ge2
_space_group_name_H-M_alt 'I m m m'
_space_group_IT_number 71
_space_group_name_Hall '-I 2 2'
_cell_length_a 4.353
_cell_length_b 6.780
_cell_length_c 14.560
_cell_angle_alpha 90.00
_cell_angle_beta 90.00
_cell_angle_gamma 90.00
loop_
_atom_site_label
_atom_site_fract_x
_atom_site_fract_y
_atom_site_fract_z
Nd1 0.000 0.000 0.000
Ho1 0.000 0.500 0.125
Cu1 0.000 0.311 0.341
Sn1 0.000 0.000 0.220
Ge1 0.000 0.186 0.500
```


This entry pairs a crystal structure of HoCuGe2Pd with its theoretical X-ray diffraction stick pattern. Radiation: Cu Kα (weighted mean of Kα1 and Kα2). Structure: the GGA-PBE geometry in OQMD.

Principal peaks in the range 2θ from 15° to 90°, by angle:
two_theta  Rel. int.
33.7  583
35.2  1000
43.9  516
49.0  270
56.4  267
62.2  131
63.8  166
67.8  202
75.0  213
88.9  129

Structural model:
```
data_HoCuGe2Pd
_space_group_name_H-M_alt 'I -4 m 2'
_space_group_IT_number 119
_space_group_name_Hall 'I -4 -2'
_cell_length_a 4.129
_cell_length_b 4.129
_cell_length_c 10.416
_cell_angle_alpha 90.00
_cell_angle_beta 90.00
_cell_angle_gamma 90.00
loop_
_atom_site_label
_atom_site_fract_x
_atom_site_fract_y
_atom_site_fract_z
Ho1 0.000 0.000 0.000
Cu1 0.000 0.500 0.750
Ge1 0.000 0.000 0.383
Pd1 0.000 0.500 0.250
```


This entry pairs a crystal structure of Ho3Cu4Si2Ge2 with its theoretical X-ray diffraction stick pattern. Radiation: Cu Kα (weighted mean of Kα1 and Kα2). Structure: the GGA-PBE geometry in OQMD.

Principal peaks in the range 2θ from 15° to 90°, by angle:
two_theta  Rel. int.
23.6  191
28.6  278
35.3  247
35.5  1000
36.6  929
39.3  306
43.9  355
45.8  381
59.1  176
65.3  256

Structural model:
```
data_Ho3Cu4Si2Ge2
_space_group_name_H-M_alt 'I m m m'
_space_group_IT_number 71
_space_group_name_Hall '-I 2 2'
_cell_length_a 4.128
_cell_length_b 6.593
_cell_length_c 13.778
_cell_angle_alpha 90.00
_cell_angle_beta 90.00
_cell_angle_gamma 90.00
loop_
_atom_site_label
_atom_site_fract_x
_atom_site_fract_y
_atom_site_fract_z
Ho1 0.000 0.000 0.000
Ho2 0.000 0.500 0.130
Cu1 0.000 0.309 0.326
Si1 0.000 0.000 0.216
Ge1 0.000 0.193 0.500
```


This entry pairs a crystal structure of Tb2HoCu4Si2Ge2 with its theoretical X-ray diffraction stick pattern. Radiation: Cu Kα (weighted mean of Kα1 and Kα2). Structure: the GGA-PBE geometry in OQMD.

Principal peaks in the range 2θ from 15° to 90°, by angle:
two_theta  Rel. int.
22.1  157
27.1  172
35.2  1000
36.3  922
39.9  183
43.1  305
45.8  213
56.9  144
64.7  232
81.5  121

Structural model:
```
data_Tb2HoCu4Si2Ge2
_space_group_name_H-M_alt 'I m m m'
_space_group_IT_number 71
_space_group_name_Hall '-I 2 2'
_cell_length_a 4.194
_cell_length_b 6.583
_cell_length_c 13.819
_cell_angle_alpha 90.00
_cell_angle_beta 90.00
_cell_angle_gamma 90.00
loop_
_atom_site_label
_atom_site_fract_x
_atom_site_fract_y
_atom_site_fract_z
Tb1 0.000 0.000 0.130
Ho1 0.000 0.500 0.000
Cu1 0.000 0.190 0.337
Si1 0.000 0.316 0.500
Ge1 0.000 0.500 0.216
```